This entry pairs a crystal structure of Li5CuP3O11 with its computed powder diffractogram. Radiation: Cu Kα (λ = 1.5418 Å). Structure: a cell relaxed with PBE.
Neutral-atom scattering factors, no anomalous dispersion.

Largest 8 diffraction maxima, in order of falling intensity, 10 to 80 degrees two-theta:
| 2θ (°) | intensity | hkl |
| --- | --- | --- |
| 17.45 | 100 | 0 0 2 |
| 19.93 | 98 | 1 1 -1 |
| 16.47 | 76 | 1 0 -1 |
| 11.33 | 70 | 0 1 0 |
| 28.38 | 56 | -1 2 1 |
| 21.23 | 47 | 1 0 -2 |
| 32.81 | 41 | 2 -1 0 |
| 28.09 | 38 | 1 0 -3 |

Structure:
Unit cell a=5.760 b=7.934 c=10.468 alpha=98.90 beta=100.07 gamma=92.98
Positions (direct):
Li  0.026  0.015  0.134
Li  0.073  0.544  0.262
Li  0.259  0.714  0.078
Li  0.332  0.319  0.551
Li  0.392  0.551  0.820
Li  0.608  0.449  0.180
Li  0.668  0.681  0.449
Li  0.741  0.286  0.922
Li  0.927  0.456  0.738
Li  0.974  0.985  0.866
Cu  0.000  0.000  0.500
Cu  0.500  0.000  0.000
P  0.236  0.675  0.561
P  0.237  0.329  0.008
P  0.437  0.000  0.717
P  0.563  0.000  0.283
P  0.763  0.671  0.992
P  0.764  0.325  0.439
O  0.013  0.777  0.553
O  0.040  0.193  0.018
O  0.185  0.392  0.875
O  0.213  0.536  0.645
O  0.273  0.481  0.125
O  0.291  0.978  0.825
O  0.304  0.095  0.613
O  0.310  0.612  0.431
O  0.313  0.923  0.225
O  0.462  0.808  0.642
O  0.487  0.249  0.026
O  0.513  0.751  0.974
O  0.538  0.192  0.358
O  0.687  0.077  0.775
O  0.690  0.388  0.569
O  0.696  0.905  0.387
O  0.709  0.022  0.175
O  0.727  0.519  0.875
O  0.787  0.464  0.355
O  0.815  0.608  0.125
O  0.960  0.807  0.982
O  0.987  0.223  0.447